Starting from the PBE geometry in Alexandria, the powder diffraction line list of Cd2NiBr was computed for a wavelength of 1.5418 Å.
Peak positions follow from Bragg's law for the DFT cell and can differ from measured ones.

Peak list (10 most intense, 15° ≤ 2θ ≤ 90°, in order of rising 2θ)
2θ (°)  intensity
29.98  64
32.39  13
36.89  100
40.34  12
42.91  10
51.06  13
55.20  9
57.85  26
60.81  11
64.09  14

Atomic structure:
```
data_Cd2NiBr
_space_group_name_H-M_alt 'C m m 2'
_space_group_IT_number 35
_cell_length_a 3.3281
_cell_length_b 5.9609
_cell_length_c 8.9441
_cell_angle_alpha 90.00
_cell_angle_beta 90.00
_cell_angle_gamma 90.00
loop_
_space_group_symop_operation_xyz
'x,y,z'
'-x,-y,z'
'-x,y,z'
'x,-y,z'
'x+1/2,y+1/2,z'
'-x+1/2,-y+1/2,z'
'-x+1/2,y+1/2,z'
'x+1/2,-y+1/2,z'
loop_
_atom_site_label
_atom_site_type_symbol
_atom_site_fract_x
_atom_site_fract_y
_atom_site_fract_z
Cd1 Cd 0.0000 0.0000 0.0000
Cd2 Cd 0.0000 0.5000 0.2822
Ni1 Ni 0.0000 0.0000 0.5069
Br1 Br 0.0000 0.5000 0.6971
```


Starting from the PBE geometry in Alexandria, the powder diffraction line list of CsHfMg14O15 was computed for a wavelength of 1.5418 Å.
Peak positions follow from Bragg's law for the DFT cell and can differ from measured ones.

Peak list (10 most intense, 15° ≤ 2θ ≤ 90°, in order of rising 2θ)
2θ (°)  intensity
17.98  100
22.13  75
22.55  68
24.41  98
28.02  86
30.91  74
32.62  91
37.13  59
42.45  87
43.40  84

Atomic structure:
```
data_CsHfMg14O15
_space_group_name_H-M_alt 'P m m 2'
_space_group_IT_number 25
_cell_length_a 4.1697
_cell_length_b 8.5173
_cell_length_c 12.1076
_cell_angle_alpha 90.00
_cell_angle_beta 90.00
_cell_angle_gamma 90.00
loop_
_space_group_symop_operation_xyz
'x,y,z'
'-x,-y,z'
'-x,y,z'
'x,-y,z'
loop_
_atom_site_label
_atom_site_type_symbol
_atom_site_fract_x
_atom_site_fract_y
_atom_site_fract_z
Cs1 Cs 0.0000 0.0000 0.0000
Hf1 Hf 0.0000 0.5000 0.1498
Mg1 Mg 0.0000 0.0000 0.5297
Mg2 Mg 0.0000 0.2386 0.3492
Mg3 Mg 0.0000 0.2459 0.7069
Mg4 Mg 0.0000 0.5000 0.5252
Mg5 Mg 0.5000 0.0000 0.3449
Mg6 Mg 0.5000 0.0000 0.7025
Mg7 Mg 0.5000 0.2253 0.1793
Mg8 Mg 0.5000 0.2504 0.5301
Mg9 Mg 0.5000 0.5000 0.3519
Mg10 Mg 0.5000 0.5000 0.7191
O1 O 0.0000 0.0000 0.3643
O2 O 0.0000 0.0000 0.7137
O3 O 0.0000 0.2539 0.5303
O4 O 0.0000 0.2674 0.1728
O5 O 0.0000 0.5000 0.3411
O6 O 0.5000 0.0000 0.1674
O7 O 0.5000 0.0000 0.5329
O8 O 0.5000 0.2489 0.7091
O9 O 0.5000 0.2507 0.3499
O10 O 0.5000 0.5000 0.1703
O11 O 0.5000 0.5000 0.5258
```


Starting from the PBE geometry in Alexandria, the powder diffraction line list of Na4InPd was computed for a wavelength of 1.5418 Å.
Peak positions follow from Bragg's law for the DFT cell and can differ from measured ones.

Peak list (10 most intense, 15° ≤ 2θ ≤ 90°, in order of rising 2θ)
2θ (°)  intensity
15.10  32
18.92  60
19.58  100
22.73  27
32.06  64
32.40  32
32.81  31
35.64  58
37.59  33
43.49  24

Atomic structure:
```
data_Na4InPd
_space_group_name_H-M_alt 'C 1 2/m 1'
_space_group_IT_number 12
_cell_length_a 5.4803
_cell_length_b 9.8288
_cell_length_c 12.0148
_cell_angle_alpha 90.00
_cell_angle_beta 102.33
_cell_angle_gamma 90.00
loop_
_space_group_symop_operation_xyz
'x,y,z'
'-x,-y,-z'
'-x,y,-z'
'x,-y,z'
'x+1/2,y+1/2,z'
'-x+1/2,-y+1/2,-z'
'-x+1/2,y+1/2,-z'
'x+1/2,-y+1/2,z'
loop_
_atom_site_label
_atom_site_type_symbol
_atom_site_fract_x
_atom_site_fract_y
_atom_site_fract_z
Na1 Na 0.0000 0.1643 0.0000
Na2 Na 0.1472 0.1675 0.2849
Na3 Na 0.2106 0.5000 0.4169
In1 In 0.0629 0.5000 0.1282
Pd1 Pd 0.0000 0.2503 0.5000
```


Starting from the PBE geometry in Alexandria, the powder diffraction line list of AlSnAsRh was computed for a wavelength of 1.5418 Å.
Peak positions follow from Bragg's law for the DFT cell and can differ from measured ones.

Peak list (10 most intense, 15° ≤ 2θ ≤ 90°, in order of rising 2θ)
2θ (°)  intensity
30.25  26
32.13  43
36.23  100
37.85  34
41.51  23
43.13  75
46.02  56
63.66  22
74.32  25
76.93  25

Atomic structure:
```
data_AlSnAsRh
_space_group_name_H-M_alt 'P m m 2'
_space_group_IT_number 25
_cell_length_a 2.9771
_cell_length_b 3.1866
_cell_length_c 7.8937
_cell_angle_alpha 90.00
_cell_angle_beta 90.00
_cell_angle_gamma 90.00
loop_
_space_group_symop_operation_xyz
'x,y,z'
'-x,-y,z'
'-x,y,z'
'x,-y,z'
loop_
_atom_site_label
_atom_site_type_symbol
_atom_site_fract_x
_atom_site_fract_y
_atom_site_fract_z
Al1 Al 0.0000 0.0000 0.0000
Sn1 Sn 0.0000 0.0000 0.5911
As1 As 0.0000 0.5000 0.2702
Rh1 Rh 0.5000 0.5000 0.8239
```


Starting from the PBE geometry in Alexandria, the powder diffraction line list of Pr3Sn6Pd4 was computed for a wavelength of 1.5418 Å.
Peak positions follow from Bragg's law for the DFT cell and can differ from measured ones.

Peak list (10 most intense, 15° ≤ 2θ ≤ 90°, in order of rising 2θ)
2θ (°)  intensity
29.01  18
31.59  100
33.13  37
34.64  12
36.07  27
38.61  46
41.01  13
49.94  12
53.88  15
65.51  12

Atomic structure:
```
data_Pr3Sn6Pd4
_space_group_name_H-M_alt 'P n m a'
_space_group_IT_number 62
_cell_length_a 16.9756
_cell_length_b 4.6633
_cell_length_c 15.7166
_cell_angle_alpha 90.00
_cell_angle_beta 90.00
_cell_angle_gamma 90.00
loop_
_space_group_symop_operation_xyz
'x,y,z'
'-x,-y,-z'
'-x+1/2,-y,z+1/2'
'x+1/2,y,-z+1/2'
'x+1/2,-y+1/2,-z+1/2'
'-x+1/2,y+1/2,z+1/2'
'-x,y+1/2,-z'
'x,-y+1/2,z'
loop_
_atom_site_label
_atom_site_type_symbol
_atom_site_fract_x
_atom_site_fract_y
_atom_site_fract_z
Pr1 Pr 0.1171 0.2500 0.2467
Pr2 Pr 0.1434 0.7500 0.6174
Pr3 Pr 0.1503 0.2500 0.9830
Sn1 Sn 0.0256 0.7500 0.9193
Sn2 Sn 0.0515 0.2500 0.4602
Sn3 Sn 0.0573 0.2500 0.7698
Sn4 Sn 0.1711 0.7500 0.3933
Sn5 Sn 0.1881 0.7500 0.8360
Sn6 Sn 0.2061 0.7500 0.1192
Pd1 Pd 0.0106 0.7500 0.3791
Pd2 Pd 0.0475 0.7500 0.1000
Pd3 Pd 0.2089 0.2500 0.4734
Pd4 Pd 0.2180 0.2500 0.7658
```


Starting from the PBE geometry in Alexandria, the powder diffraction line list of BaAlGa was computed for a wavelength of 1.5418 Å.
Peak positions follow from Bragg's law for the DFT cell and can differ from measured ones.

Peak list (10 most intense, 15° ≤ 2θ ≤ 90°, in order of rising 2θ)
2θ (°)  intensity
21.19  28
22.36  22
27.94  75
29.06  100
35.33  69
39.84  25
40.02  24
47.83  44
50.08  22
64.02  37

Atomic structure:
```
data_BaAlGa
_space_group_name_H-M_alt 'P m m n'
_space_group_IT_number 59
_cell_length_a 4.5055
_cell_length_b 4.5256
_cell_length_c 8.3865
_cell_angle_alpha 90.00
_cell_angle_beta 90.00
_cell_angle_gamma 90.00
loop_
_space_group_symop_operation_xyz
'x,y,z'
'-x,-y,-z'
'-x+1/2,-y+1/2,z'
'x+1/2,y+1/2,-z'
'x+1/2,-y,-z'
'-x+1/2,y,z'
'-x,y+1/2,-z'
'x,-y+1/2,z'
loop_
_atom_site_label
_atom_site_type_symbol
_atom_site_fract_x
_atom_site_fract_y
_atom_site_fract_z
Ba1 Ba 0.2500 0.2500 0.1806
Al1 Al 0.2500 0.7500 0.5005
Ga1 Ga 0.2500 0.2500 0.6881
```


Starting from the PBE geometry in Alexandria, the powder diffraction line list of Ce12MgIr7 was computed for a wavelength of 1.5418 Å.
Peak positions follow from Bragg's law for the DFT cell and can differ from measured ones.

Peak list (10 most intense, 15° ≤ 2θ ≤ 90°, in order of rising 2θ)
2θ (°)  intensity
18.38  20
29.08  17
34.42  100
34.52  26
34.83  56
35.34  47
40.03  51
42.21  30
58.96  18
71.09  19

Atomic structure:
```
data_Ce12MgIr7
_space_group_name_H-M_alt 'R -3'
_space_group_IT_number 148
_space_group_name_Hall '-R 3'
_cell_length_a 13.7892
_cell_length_b 13.7892
_cell_length_c 8.1949
_cell_angle_alpha 90.00
_cell_angle_beta 90.00
_cell_angle_gamma 120.00
loop_
_atom_site_label
_atom_site_type_symbol
_atom_site_fract_x
_atom_site_fract_y
_atom_site_fract_z
Ce1 Ce 0.0339 0.1789 0.2755
Ce2 Ce 0.0521 0.2805 0.5854
Mg1 Mg 0.0000 0.0000 0.0000
Ir1 Ir 0.0000 0.0000 0.5000
Ir2 Ir 0.0670 0.2306 0.9150
```


Starting from the PBE geometry in Alexandria, the powder diffraction line list of Pm2HgAu3 was computed for a wavelength of 1.5418 Å.
Peak positions follow from Bragg's law for the DFT cell and can differ from measured ones.

Peak list (10 most intense, 15° ≤ 2θ ≤ 90°, in order of rising 2θ)
2θ (°)  intensity
25.49  17
33.41  100
37.14  31
37.26  62
45.69  15
50.82  21
52.36  12
64.75  20
65.98  35
67.02  11

Atomic structure:
```
data_Pm2HgAu3
_space_group_name_H-M_alt 'F m m m'
_space_group_IT_number 69
_space_group_name_Hall '-F 2 2'
_cell_length_a 6.9890
_cell_length_b 9.6841
_cell_length_c 16.7037
_cell_angle_alpha 90.00
_cell_angle_beta 90.00
_cell_angle_gamma 90.00
loop_
_atom_site_label
_atom_site_type_symbol
_atom_site_fract_x
_atom_site_fract_y
_atom_site_fract_z
Pm1 Pm 0.2460 0.0000 0.0000
Pm2 Pm 0.2500 0.2500 0.2500
Hg1 Hg 0.0000 0.0000 0.3332
Au1 Au 0.0000 0.0000 0.1655
Au2 Au 0.0000 0.2495 0.0831
```


- Which formula does entry 6 have?
  BaAlGa


Please write out number 1 again, unchanged.
Starting from the PBE geometry in Alexandria, the powder diffraction line list of Cd2NiBr was computed for a wavelength of 1.5418 Å.
Peak positions follow from Bragg's law for the DFT cell and can differ from measured ones.

Peak list (10 most intense, 15° ≤ 2θ ≤ 90°, in order of rising 2θ)
2θ (°)  intensity
29.98  64
32.39  13
36.89  100
40.34  12
42.91  10
51.06  13
55.20  9
57.85  26
60.81  11
64.09  14

Atomic structure:
```
data_Cd2NiBr
_space_group_name_H-M_alt 'C m m 2'
_space_group_IT_number 35
_cell_length_a 3.3281
_cell_length_b 5.9609
_cell_length_c 8.9441
_cell_angle_alpha 90.00
_cell_angle_beta 90.00
_cell_angle_gamma 90.00
loop_
_space_group_symop_operation_xyz
'x,y,z'
'-x,-y,z'
'-x,y,z'
'x,-y,z'
'x+1/2,y+1/2,z'
'-x+1/2,-y+1/2,z'
'-x+1/2,y+1/2,z'
'x+1/2,-y+1/2,z'
loop_
_atom_site_label
_atom_site_type_symbol
_atom_site_fract_x
_atom_site_fract_y
_atom_site_fract_z
Cd1 Cd 0.0000 0.0000 0.0000
Cd2 Cd 0.0000 0.5000 0.2822
Ni1 Ni 0.0000 0.0000 0.5069
Br1 Br 0.0000 0.5000 0.6971
```


Please write out number 3 again, unchanged.
Starting from the PBE geometry in Alexandria, the powder diffraction line list of Na4InPd was computed for a wavelength of 1.5418 Å.
Peak positions follow from Bragg's law for the DFT cell and can differ from measured ones.

Peak list (10 most intense, 15° ≤ 2θ ≤ 90°, in order of rising 2θ)
2θ (°)  intensity
15.10  32
18.92  60
19.58  100
22.73  27
32.06  64
32.40  32
32.81  31
35.64  58
37.59  33
43.49  24

Atomic structure:
```
data_Na4InPd
_space_group_name_H-M_alt 'C 1 2/m 1'
_space_group_IT_number 12
_cell_length_a 5.4803
_cell_length_b 9.8288
_cell_length_c 12.0148
_cell_angle_alpha 90.00
_cell_angle_beta 102.33
_cell_angle_gamma 90.00
loop_
_space_group_symop_operation_xyz
'x,y,z'
'-x,-y,-z'
'-x,y,-z'
'x,-y,z'
'x+1/2,y+1/2,z'
'-x+1/2,-y+1/2,-z'
'-x+1/2,y+1/2,-z'
'x+1/2,-y+1/2,z'
loop_
_atom_site_label
_atom_site_type_symbol
_atom_site_fract_x
_atom_site_fract_y
_atom_site_fract_z
Na1 Na 0.0000 0.1643 0.0000
Na2 Na 0.1472 0.1675 0.2849
Na3 Na 0.2106 0.5000 0.4169
In1 In 0.0629 0.5000 0.1282
Pd1 Pd 0.0000 0.2503 0.5000
```